[1]
La3Mo: simulated powder XRD pattern (CuKα), based on DFT lattice parameters and positions (PBE).

```
La3Mo
1.0
-1.907 2.870 5.440
1.907 -2.870 5.440
1.907 2.870 -5.440
La Mo
3 1
Direct
0.000 0.000 0.000
0.298 0.798 0.500
0.702 0.202 0.500
0.500 0.500 0.000
```

Most intense lines, 10° ≤ 2θ ≤ 80°, sorted by position:
d [Å]	Rel. int.
3.066	21
2.870	35
2.743	100
2.720	13
1.974	10
1.907	10
1.632	21
1.588	12
1.578	9
1.250	8

[2]
La2Mo: simulated powder XRD pattern (CuKα), based on DFT lattice parameters and positions (PBE).

```
La2Mo
1.0
5.504 0.000 0.000
0.000 1.782 8.696
0.000 -1.782 8.696
La Mo
4 2
Direct
0.000 0.000 0.000
0.000 0.327 0.327
0.000 0.653 0.653
0.500 0.826 0.826
0.500 0.125 0.125
0.500 0.528 0.528
```

Most intense lines, 10° ≤ 2θ ≤ 80°, sorted by position:
d [Å]	Rel. int.
4.348	11
2.899	22
2.752	31
2.658	100
1.996	15
1.911	11
1.782	8
1.623	10
1.570	20
1.495	9

[3]
La5Mo: simulated powder XRD pattern (CuKα), based on DFT lattice parameters and positions (PBE).

```
La5Mo
1.0
3.165 1.827 5.289
-3.165 1.827 5.289
0.000 -3.655 5.289
La Mo
5 1
Direct
0.000 0.597 0.403
0.143 0.143 0.143
0.403 0.000 0.597
0.597 0.403 0.000
0.857 0.857 0.857
0.500 0.500 0.500
```

Most intense lines, 10° ≤ 2θ ≤ 80°, sorted by position:
d [Å]	Rel. int.
3.214	12
3.165	25
2.716	100
2.701	13
2.645	20
2.591	9
2.029	11
1.827	15
1.540	10
1.503	10

[4]
NaLa2MoN4: simulated powder XRD pattern (CuKα), based on DFT lattice parameters and positions (PBE).

```
NaLa2MoN4
1.0
0.000 4.874 3.711
3.664 0.000 3.711
3.664 4.874 0.000
Na La Mo N
1 2 1 4
Direct
0.000 0.000 0.000
0.251 0.251 0.249
0.751 0.751 0.749
0.437 0.437 0.563
0.085 0.495 0.915
0.323 0.715 0.285
0.495 0.085 0.505
0.715 0.323 0.677
```

Most intense lines, 10° ≤ 2θ ≤ 80°, sorted by position:
d [Å]	Rel. int.
4.874	28
4.598	41
3.711	27
2.953	89
2.929	97
2.607	100
2.437	43
2.299	30
1.780	56
1.557	29

[5]
La2PrMoN4: simulated powder XRD pattern (CuKα), based on DFT lattice parameters and positions (PBE).

```
La2PrMoN4
1.0
1.775 -6.106 0.000
1.775 6.106 0.000
0.000 0.000 12.637
La Pr Mo N
4 2 2 8
Direct
0.131 0.869 0.540
0.131 0.869 0.960
0.869 0.131 0.040
0.869 0.131 0.460
0.411 0.589 0.750
0.589 0.411 0.250
0.329 0.671 0.250
0.671 0.329 0.750
0.071 0.929 0.750
0.229 0.771 0.134
0.229 0.771 0.366
0.500 0.500 0.000
0.500 0.500 0.500
0.771 0.229 0.634
0.771 0.229 0.866
0.929 0.071 0.250
```

Most intense lines, 10° ≤ 2θ ≤ 80°, sorted by position:
d [Å]	Rel. int.
3.467	38
3.159	47
3.053	37
3.000	100
2.968	19
2.617	38
2.464	64
1.837	24
1.816	23
1.775	18

[6]
RbLaMoN3: simulated powder XRD pattern (CuKα), based on DFT lattice parameters and positions (PBE).

```
RbLaMoN3
1.0
7.086 -1.983 0.000
7.086 1.983 0.000
-2.189 0.000 8.093
Rb La Mo N
2 2 2 6
Direct
0.140 0.140 0.067
0.860 0.860 0.933
0.163 0.163 0.597
0.837 0.837 0.403
0.490 0.490 0.668
0.510 0.510 0.332
0.013 0.013 0.353
0.346 0.346 0.635
0.374 0.374 0.219
0.626 0.626 0.781
0.654 0.654 0.365
0.987 0.987 0.647
```

Most intense lines, 10° ≤ 2θ ≤ 80°, sorted by position:
d [Å]	Rel. int.
8.093	63
3.142	38
3.031	45
2.992	92
2.880	100
2.698	15
2.280	33
1.983	25
1.767	18
1.659	20

[7]
LaSmMoN3: simulated powder XRD pattern (CuKα), based on DFT lattice parameters and positions (PBE).

```
LaSmMoN3
1.0
6.713 0.000 0.000
0.000 3.511 0.000
-1.515 0.000 9.030
La Sm Mo N
2 2 2 6
Direct
0.242 0.250 0.251
0.758 0.750 0.749
0.183 0.250 0.627
0.817 0.750 0.373
0.371 0.750 0.921
0.629 0.250 0.079
0.119 0.750 0.798
0.182 0.750 0.431
0.494 0.750 0.153
0.506 0.250 0.847
0.818 0.250 0.569
0.881 0.250 0.202
```

Most intense lines, 10° ≤ 2θ ≤ 80°, sorted by position:
d [Å]	Rel. int.
5.818	72
3.310	79
3.102	77
2.929	59
2.909	92
2.866	79
2.772	100
2.654	67
2.584	78
2.249	56

[8]
Sr2LaMoN4: simulated powder XRD pattern (CuKα), based on DFT lattice parameters and positions (PBE).

```
Sr2LaMoN4
1.0
7.798 0.000 0.000
0.000 7.160 0.000
0.000 0.000 5.630
Sr La Mo N
4 2 2 8
Direct
0.250 0.157 0.000
0.250 0.843 0.500
0.750 0.157 0.000
0.750 0.843 0.500
0.000 0.356 0.507
0.500 0.644 0.007
0.000 0.663 0.038
0.500 0.337 0.538
0.000 0.402 0.955
0.000 0.659 0.370
0.208 0.788 0.958
0.292 0.212 0.458
0.500 0.341 0.870
0.500 0.598 0.455
0.708 0.212 0.458
0.792 0.788 0.958
```

Most intense lines, 10° ≤ 2θ ≤ 80°, sorted by position:
d [Å]	Rel. int.
3.424	57
3.021	74
2.926	100
2.815	48
2.175	28
2.036	35
1.950	17
1.649	31
1.646	20
1.638	25

What did the seventh record say?
LaSmMoN3: simulated powder XRD pattern (CuKα), based on DFT lattice parameters and positions (PBE).

```
LaSmMoN3
1.0
6.713 0.000 0.000
0.000 3.511 0.000
-1.515 0.000 9.030
La Sm Mo N
2 2 2 6
Direct
0.242 0.250 0.251
0.758 0.750 0.749
0.183 0.250 0.627
0.817 0.750 0.373
0.371 0.750 0.921
0.629 0.250 0.079
0.119 0.750 0.798
0.182 0.750 0.431
0.494 0.750 0.153
0.506 0.250 0.847
0.818 0.250 0.569
0.881 0.250 0.202
```

Most intense lines, 10° ≤ 2θ ≤ 80°, sorted by position:
d [Å]	Rel. int.
5.818	72
3.310	79
3.102	77
2.929	59
2.909	92
2.866	79
2.772	100
2.654	67
2.584	78
2.249	56

Q: Which formula does entry 6 have?
A: RbLaMoN3